# 1
For PPb3, the PBE geometry in the Materials Project gives the calculated X-ray diffraction stick pattern in this record (Cu Kα).
Neutral-atom scattering factors, no anomalous dispersion.

Largest 10 diffraction maxima, by angle, 10 to 90 degrees two-theta:
21.1°, intensity 19.8, hkl 1 0 1; 32.3°, intensity 100.0, hkl 1 1 2; 33.3°, intensity 23.0, hkl 0 0 4; 39.4°, intensity 29.5, hkl 2 0 0; 52.5°, intensity 26.0, hkl 2 0 4; 56.9°, intensity 10.2, hkl 2 2 0; 58.8°, intensity 18.5, hkl 1 1 6; 66.9°, intensity 25.5, hkl 3 1 2; 67.5°, intensity 12.4, hkl 2 2 4; 86.3°, intensity 13.6, hkl 3 1 6

Atomic structure:
Unit cell a=4.5792 b=4.5792 c=10.7639 alpha=90.00 beta=90.00 gamma=90.00
Fractional coordinates of all 8 atoms:
P  0.0000  0.0000  0.0000
P  0.5000  0.5000  0.5000
Pb  0.0000  0.0000  0.5000
Pb  0.0000  0.5000  0.2500
Pb  0.0000  0.5000  0.7500
Pb  0.5000  0.0000  0.2500
Pb  0.5000  0.0000  0.7500
Pb  0.5000  0.5000  0.0000

=====

# 2
For PrSe2, the PBE geometry in the Materials Project gives the calculated X-ray diffraction stick pattern in this record (Cu Kα).
Neutral-atom scattering factors, no anomalous dispersion.

Largest 10 diffraction maxima, by angle, 10 to 90 degrees two-theta:
23.4°, intensity 23.7, hkl 1 0 -2; 23.4°, intensity 21.1, hkl 1 1 0; 29.8°, intensity 40.9, hkl 0 1 2; 31.2°, intensity 36.3, hkl 3 0 0; 31.6°, intensity 71.5, hkl 1 1 2; 36.5°, intensity 100.0, hkl 2 1 -2; 37.9°, intensity 46.5, hkl 3 0 2; 42.6°, intensity 32.2, hkl 0 0 4; 42.8°, intensity 25.0, hkl 0 2 0; 58.4°, intensity 22.6, hkl 3 2 2

Atomic structure:
Unit cell a=8.6126 b=4.2277 c=8.4876 alpha=90.00 beta=90.20 gamma=90.00
Fractional coordinates of all 12 atoms:
Pr  0.2255  0.2219  0.3733
Pr  0.2255  0.2781  0.8733
Pr  0.7745  0.7219  0.1267
Pr  0.7745  0.7781  0.6267
Se  0.1323  0.7431  0.1252
Se  0.1323  0.7569  0.6252
Se  0.4980  0.6834  0.3815
Se  0.4980  0.8166  0.8815
Se  0.5020  0.1834  0.1185
Se  0.5020  0.3166  0.6185
Se  0.8677  0.2431  0.3748
Se  0.8677  0.2569  0.8748

=====

# 3
For Ba2CrN2, the PBE geometry in the Materials Project gives the calculated X-ray diffraction stick pattern in this record (Cu Kα).
Neutral-atom scattering factors, no anomalous dispersion.

Largest 10 diffraction maxima, by angle, 10 to 90 degrees two-theta:
22.4°, intensity 18.0, hkl 1 0 1; 26.7°, intensity 16.8, hkl 0 0 4; 29.4°, intensity 100.0, hkl 1 0 3; 30.3°, intensity 72.4, hkl 1 1 0; 40.8°, intensity 20.8, hkl 1 1 4; 43.4°, intensity 25.9, hkl 2 0 0; 51.4°, intensity 16.7, hkl 1 1 6; 51.7°, intensity 10.3, hkl 2 0 4; 53.3°, intensity 37.4, hkl 2 1 3; 71.6°, intensity 11.1, hkl 3 1 0

Atomic structure:
Unit cell a=4.1657 b=4.1657 c=13.3655 alpha=90.00 beta=90.00 gamma=90.00
Fractional coordinates of all 10 atoms:
Ba  0.0000  0.0000  0.1464
Ba  0.0000  0.0000  0.8536
Ba  0.5000  0.5000  0.3536
Ba  0.5000  0.5000  0.6464
Cr  0.0000  0.0000  0.5000
Cr  0.5000  0.5000  0.0000
N  0.0000  0.0000  0.3669
N  0.0000  0.0000  0.6331
N  0.5000  0.5000  0.1331
N  0.5000  0.5000  0.8669